Entry 1:
For Li3MnCo2O6, a crystal structure in the Materials Project, relaxed with GGA+U gives the calculated XRD peak list in this record (CuKα).

Principal peaks in the range 2θ = 5–70°, by angle:
d 4.838, 18.34 deg, rel. 100.0; d 2.526, 35.54 deg, rel. 14.4; d 2.522, 35.60 deg, rel. 14.5; d 2.410, 37.32 deg, rel. 14.3; d 2.100, 43.07 deg, rel. 26.1; d 2.095, 43.18 deg, rel. 25.9; d 2.071, 43.70 deg, rel. 24.8; d 1.471, 63.19 deg, rel. 13.8

```
Li3MnCo2O6
1.0
5.086 0.000 0.000
1.644 5.668 0.000
1.631 1.037 7.588
Li Mn Co O
6 2 4 12
Direct
0.000 0.000 0.000
0.001 0.669 0.330
0.499 0.831 0.166
0.500 0.500 0.500
0.501 0.169 0.834
0.999 0.331 0.670
0.000 0.500 0.000
0.500 0.000 0.500
0.000 0.170 0.329
0.000 0.830 0.671
0.500 0.336 0.164
0.500 0.664 0.836
0.224 0.507 0.765
0.226 0.186 0.082
0.239 0.654 0.077
0.254 0.302 0.418
0.257 0.989 0.727
0.261 0.846 0.424
0.739 0.154 0.576
0.743 0.011 0.273
0.746 0.698 0.582
0.761 0.346 0.923
0.774 0.814 0.918
0.776 0.493 0.235
```

=====

Entry 2:
For Li5FeOF5, a crystal structure in the Materials Project, relaxed with GGA+U gives the calculated XRD peak list in this record (CuKα).

Principal peaks in the range 2θ = 5–70°, by angle:
d 4.855, 18.27 deg, rel. 37.4; d 4.451, 19.95 deg, rel. 31.7; d 4.269, 20.81 deg, rel. 53.0; d 3.837, 23.18 deg, rel. 42.9; d 3.281, 27.18 deg, rel. 28.1; d 2.126, 42.52 deg, rel. 53.9; d 2.096, 43.16 deg, rel. 100.0; d 1.492, 62.24 deg, rel. 27.2

```
Li5FeOF5
1.0
2.593 -4.451 0.000
2.593 4.451 0.000
-1.594 0.000 9.710
Li Fe O F
10 2 2 10
Direct
0.067 0.933 0.500
0.154 0.324 0.731
0.245 0.759 0.993
0.324 0.154 0.231
0.455 0.618 0.495
0.618 0.455 0.995
0.686 0.838 0.230
0.759 0.245 0.493
0.838 0.686 0.730
0.933 0.067 0.000
0.008 0.529 0.233
0.529 0.008 0.733
0.796 0.971 0.617
0.971 0.796 0.117
0.050 0.238 0.360
0.121 0.631 0.613
0.238 0.050 0.860
0.308 0.456 0.113
0.392 0.894 0.368
0.456 0.308 0.613
0.548 0.708 0.869
0.631 0.121 0.113
0.708 0.548 0.369
0.894 0.392 0.868
```

=====

Entry 3:
For SrCoO3, a crystal structure in the Materials Project, relaxed with GGA+U gives the calculated XRD peak list in this record (CuKα).

Principal peaks in the range 2θ = 5–70°, by angle:
d 2.747, 32.59 deg, rel. 100.0; d 2.243, 40.20 deg, rel. 11.5; d 1.943, 46.76 deg, rel. 38.1; d 1.737, 52.68 deg, rel. 0.5; d 1.586, 58.16 deg, rel. 37.7; d 1.374, 68.28 deg, rel. 21.8

```
SrCoO3
1.0
3.885 0.000 0.000
0.000 3.885 0.000
0.000 0.000 3.885
Sr Co O
1 1 3
Direct
0.000 0.000 0.000
0.500 0.500 0.500
0.000 0.500 0.500
0.500 0.000 0.500
0.500 0.500 0.000
```

=====

Entry 4:
For RbMoPO6, a crystal structure in the Materials Project, relaxed with GGA+U gives the calculated XRD peak list in this record (CuKα).

Principal peaks in the range 2θ = 5–70°, by angle:
d 7.457, 11.87 deg, rel. 21.2; d 4.205, 21.13 deg, rel. 56.4; d 4.032, 22.05 deg, rel. 27.0; d 3.502, 25.44 deg, rel. 31.9; d 3.190, 27.97 deg, rel. 27.8; d 3.177, 28.09 deg, rel. 27.9; d 2.910, 30.72 deg, rel. 100.0; d 2.497, 35.96 deg, rel. 22.8

```
RbMoPO6
1.0
0.000 6.354 8.064
5.609 0.000 8.064
5.609 6.354 0.000
Rb Mo P O
4 4 4 24
Direct
0.078 0.672 0.672
0.328 0.922 0.922
0.672 0.078 0.078
0.922 0.328 0.328
0.156 0.594 0.156
0.406 0.844 0.406
0.594 0.156 0.594
0.844 0.406 0.844
0.243 0.243 0.507
0.493 0.493 0.757
0.507 0.507 0.243
0.757 0.757 0.493
0.037 0.330 0.605
0.052 0.554 0.085
0.085 0.810 0.052
0.190 0.915 0.446
0.269 0.320 0.309
0.309 0.602 0.269
0.320 0.269 0.602
0.330 0.037 0.528
0.395 0.472 0.963
0.398 0.691 0.680
0.446 0.948 0.190
0.472 0.395 0.670
0.528 0.605 0.330
0.554 0.052 0.810
0.602 0.309 0.320
0.605 0.528 0.037
0.670 0.963 0.472
0.680 0.731 0.398
0.691 0.398 0.731
0.731 0.680 0.691
0.810 0.085 0.554
0.915 0.190 0.948
0.948 0.446 0.915
0.963 0.670 0.395
```

=====

Entry 5:
For MgFe4Cu2O8, a crystal structure in the Materials Project, relaxed with GGA+U gives the calculated XRD peak list in this record (CuKα).

Principal peaks in the range 2θ = 5–70°, by angle:
d 2.690, 33.30 deg, rel. 68.4; d 2.667, 33.60 deg, rel. 99.0; d 2.570, 34.91 deg, rel. 77.0; d 2.531, 35.46 deg, rel. 60.8; d 2.508, 35.81 deg, rel. 81.1; d 2.271, 39.69 deg, rel. 65.7; d 2.115, 42.75 deg, rel. 100.0; d 1.494, 62.13 deg, rel. 75.1

```
MgFe4Cu2O8
1.0
5.227 -2.932 0.000
5.227 2.932 0.000
-3.040 0.000 5.336
Mg Fe Cu O
1 4 2 8
Direct
0.000 0.000 0.000
0.164 0.164 0.479
0.500 0.500 0.000
0.500 0.500 0.500
0.836 0.836 0.521
0.000 0.500 0.000
0.500 0.000 0.000
0.220 0.736 0.721
0.263 0.263 0.281
0.264 0.780 0.279
0.275 0.275 0.829
0.725 0.725 0.171
0.736 0.220 0.721
0.737 0.737 0.719
0.780 0.264 0.279
```